Starting from the PBE+U geometry in Alexandria, the X-ray powder pattern of Nb2VFeF was calculated for Cu Kα X-rays.
Neutral-atom scattering factors, no anomalous dispersion.

Most intense lines, 5° ≤ 2θ ≤ 70°, by angle:
Position (°2θ)	d [Å]	I/Imax
22.1	4.026	12
28.6	3.126	5
36.4	2.469	100
40.8	2.210	46
45.0	2.013	17
46.9	1.937	6
54.2	1.692	2
59.1	1.563	15
62.4	1.488	25
63.9	1.457	3

Crystal structure
abc: 4.4203 4.4203 4.0262
angles: 90.00 90.00 90.00
Fractional positions:
Nb (0.0000, 0.5000, 0.0000)
Nb (0.5000, 0.0000, 0.0000)
V (0.0000, 0.0000, 0.5000)
Fe (0.5000, 0.5000, 0.5000)
F (0.0000, 0.0000, 0.0000)